# 1
Nd12Ho7In: calculated X-ray powder pattern (copper Kα), based on a structure optimized by DFT (PBE).

Principal peaks in the range 2θ from 5° to 70°, sorted by position:
2θ (°), I_rel
30.1, 227
30.4, 1000
31.9, 583
32.1, 345
33.4, 196
33.6, 97
38.2, 125
46.0, 86
52.4, 103
52.7, 131
52.9, 113
56.1, 108

Atomic structure:
```
Nd12Ho7In
1.0
6.235 3.600 5.146
-6.235 3.600 5.146
0.000 -7.200 5.146
Nd Ho In
12 7 1
Cartesian
-2.142 -0.279 4.790
-3.470 -0.959 8.204
-0.905 -3.485 7.235
1.312 -1.716 4.790
-2.566 2.526 7.235
0.829 1.994 4.790
-0.829 -1.994 10.649
2.566 -2.526 8.204
-1.313 1.716 10.649
0.905 3.485 8.204
3.470 0.959 7.235
2.142 0.279 10.649
-5.523 0.871 6.307
-3.516 -4.347 9.133
2.007 -5.218 6.307
0.000 0.000 7.720
-2.007 5.218 9.133
3.516 4.347 6.307
5.523 -0.871 9.133
0.000 0.000 0.000
```

=====

# 2
FeSiN: calculated X-ray powder pattern (copper Kα), based on a structure optimized by DFT (PBE).

Principal peaks in the range 2θ from 5° to 70°, sorted by position:
2θ (°), I_rel
10.3, 1000
37.2, 423
37.8, 704
39.7, 482
41.1, 172
42.0, 250
44.7, 250
46.9, 418
51.7, 409
54.4, 359
60.3, 266
66.8, 437

Atomic structure:
```
FeSiN
1.0
1.400 0.808 8.601
-1.400 0.808 8.601
0.000 -1.616 8.601
Fe Si N
2 2 2
Cartesian
0.000 0.000 0.000
0.000 0.000 2.399
0.000 0.000 6.718
0.000 0.000 12.561
0.000 0.000 14.339
0.000 0.000 18.210
```

=====

# 3
SbH2F4: calculated X-ray powder pattern (copper Kα), based on a structure optimized by DFT (PBE).

Principal peaks in the range 2θ from 5° to 70°, sorted by position:
2θ (°), I_rel
16.0, 517
21.8, 918
23.8, 477
27.1, 1000
28.7, 372
28.9, 299
39.3, 193
39.4, 414
40.5, 228
40.6, 214
43.8, 216
47.5, 220

Atomic structure:
```
SbH2F4
1.0
3.746 -2.435 0.000
3.746 2.435 0.000
-0.030 0.000 5.533
Sb H F
1 2 4
Cartesian
0.000 0.000 0.000
2.228 0.774 1.954
5.234 0.774 3.579
1.273 0.691 2.191
3.562 0.905 1.310
3.899 0.905 4.223
6.188 0.691 3.342
```

=====

# 4
Hf5Zr6: calculated X-ray powder pattern (copper Kα), based on a structure optimized by DFT (PBE).

Principal peaks in the range 2θ from 5° to 70°, sorted by position:
2θ (°), I_rel
13.5, 85
27.2, 92
33.5, 423
36.0, 1000
36.6, 95
37.0, 322
37.1, 104
37.9, 124
49.5, 87
54.0, 89
59.0, 116
66.0, 169

Atomic structure:
```
Hf5Zr6
1.0
-2.430 3.686 7.117
2.430 -3.686 7.117
2.430 3.686 -7.117
Hf Zr
5 6
Cartesian
0.000 0.000 0.000
2.430 0.000 2.222
0.000 0.000 4.199
0.000 0.000 10.035
0.000 3.686 4.895
2.430 -1.498 5.131
2.430 2.129 0.000
0.000 2.188 1.986
2.430 1.498 5.131
0.000 1.557 7.117
0.000 5.183 1.986
```

=====

# 5
Pm2Pr5Er12: calculated X-ray powder pattern (copper Kα), based on a structure optimized by DFT (PBE).

Principal peaks in the range 2θ from 5° to 70°, sorted by position:
2θ (°), I_rel
30.6, 991
30.7, 983
35.5, 1000
51.0, 239
51.1, 356
51.2, 118
60.6, 284
60.8, 353
60.9, 211
63.5, 62
63.8, 122
63.9, 61

Atomic structure:
```
Pm2Pr5Er12
1.0
6.192 0.000 0.000
-0.006 9.487 0.000
-1.040 -2.059 10.456
Pm Pr Er
2 5 12
Cartesian
0.005 2.041 4.951
5.140 5.387 5.505
1.028 8.114 4.397
2.055 3.384 0.555
3.096 0.000 0.000
3.091 4.044 9.901
4.117 -0.686 6.059
-0.009 0.677 1.645
-0.009 3.366 8.250
1.017 6.775 1.093
1.016 -0.010 7.717
2.067 4.730 3.852
2.037 6.061 7.153
3.108 1.367 3.303
3.079 2.698 6.603
4.129 7.438 2.739
4.129 0.653 9.363
5.155 4.062 2.205
5.155 6.751 8.811
```

=====

# 6
Sc2Ag3Au3: calculated X-ray powder pattern (copper Kα), based on a structure optimized by DFT (PBE).

Principal peaks in the range 2θ from 5° to 70°, sorted by position:
2θ (°), I_rel
23.0, 490
33.8, 184
37.0, 519
38.8, 1000
40.4, 373
41.3, 145
57.3, 90
59.1, 142
61.3, 169
64.3, 90
65.0, 98
69.1, 89

Atomic structure:
```
Sc2Ag3Au3
1.0
3.865 2.231 2.905
-3.865 2.231 2.905
0.000 -4.463 2.905
Sc Ag Au
2 3 3
Cartesian
0.000 0.000 1.991
0.000 0.000 6.725
-1.001 -1.734 4.358
-1.001 1.734 4.358
2.002 0.000 4.358
-2.774 0.342 2.905
1.091 -2.574 2.905
1.684 2.231 2.905
```

=====

# 7
SmTaMnIr2: calculated X-ray powder pattern (copper Kα), based on a structure optimized by DFT (PBE).

Principal peaks in the range 2θ from 5° to 70°, sorted by position:
2θ (°), I_rel
22.6, 488
30.0, 322
32.2, 927
34.2, 1000
43.0, 831
44.6, 526
46.2, 592
49.1, 156
54.7, 421
62.5, 292
64.9, 431
67.4, 160

Atomic structure:
```
SmTaMnIr2
1.0
-2.103 2.103 5.560
2.103 -2.103 5.560
2.103 2.103 -5.560
Sm Ta Mn Ir
1 1 1 2
Cartesian
0.000 0.000 0.000
2.103 0.000 2.780
0.000 2.103 2.780
0.000 0.000 4.279
0.000 0.000 6.841
```

=====

# 8
PrTm7Th2: calculated X-ray powder pattern (copper Kα), based on a structure optimized by DFT (PBE).

Principal peaks in the range 2θ from 5° to 70°, sorted by position:
2θ (°), I_rel
15.8, 152
17.5, 150
19.4, 164
31.5, 519
31.7, 1000
31.9, 501
34.9, 393
37.6, 633
52.0, 254
52.6, 267
60.6, 159
64.0, 146

Atomic structure:
```
PrTm7Th2
1.0
5.654 -5.066 0.000
5.654 5.066 0.000
-0.743 0.000 6.143
Pr Tm Th
1 7 2
Cartesian
0.000 0.000 0.000
2.666 1.799 1.557
5.654 1.677 0.000
2.666 -1.799 1.557
5.282 0.000 3.071
7.899 1.799 4.586
5.654 -1.677 0.000
7.899 -1.799 4.586
5.282 3.421 3.071
5.282 -3.421 3.071
```

=====

# 9
La3GaTe2: calculated X-ray powder pattern (copper Kα), based on a structure optimized by DFT (PBE).

Principal peaks in the range 2θ from 5° to 70°, sorted by position:
2θ (°), I_rel
24.1, 14
27.7, 1000
39.3, 127
39.6, 505
39.9, 124
48.7, 136
49.3, 133
57.2, 128
64.3, 56
64.7, 114
64.8, 112
65.2, 56

Atomic structure:
```
La3GaTe2
1.0
0.000 6.442 13.549
4.587 0.000 13.549
4.587 6.442 0.000
La Ga Te
12 4 8
Cartesian
3.374 1.526 7.837
5.871 4.831 10.162
3.506 1.526 12.486
5.799 4.747 14.612
8.164 8.052 16.936
5.668 4.747 19.260
3.506 8.137 7.837
1.010 4.831 10.162
3.374 8.137 12.486
5.668 11.358 14.612
3.303 8.052 16.936
5.799 11.358 19.260
1.147 1.610 1.120
1.147 1.610 5.655
8.027 11.273 21.443
8.027 11.273 25.978
3.440 4.831 3.453
3.440 4.831 7.966
5.734 8.052 10.228
3.440 4.831 12.357
5.734 8.052 14.741
3.440 4.831 16.870
5.734 8.052 19.131
5.734 8.052 23.644
```

=====

# 10
AcRe2ClO8: calculated X-ray powder pattern (copper Kα), based on a structure optimized by DFT (PBE).

Principal peaks in the range 2θ from 5° to 70°, sorted by position:
2θ (°), I_rel
15.3, 229
17.7, 67
25.2, 1000
29.6, 61
35.9, 131
39.2, 100
44.3, 415
47.2, 35
51.7, 173
54.2, 45
58.3, 176
64.5, 39

Atomic structure:
```
AcRe2ClO8
1.0
0.000 5.003 5.003
5.003 0.000 5.003
5.003 5.003 0.000
Ac Re Cl O
1 2 1 8
Cartesian
0.000 0.000 0.000
2.502 2.502 2.502
7.505 7.505 7.505
5.003 5.003 5.003
1.492 1.492 1.492
3.511 3.511 1.492
3.511 1.492 3.511
8.515 6.495 6.495
1.492 3.511 3.511
6.495 8.515 6.495
6.495 6.495 8.515
8.515 8.515 8.515
```

=====

# 11
Ba3Cl5: calculated X-ray powder pattern (copper Kα), based on a structure optimized by DFT (PBE).

Principal peaks in the range 2θ from 5° to 70°, sorted by position:
2θ (°), I_rel
20.4, 1000
24.1, 470
25.1, 247
27.3, 736
29.9, 343
31.4, 276
33.7, 564
34.4, 396
38.4, 751
40.0, 404
43.3, 294
62.1, 280

Atomic structure:
```
Ba3Cl5
1.0
-5.829 5.829 3.939
5.829 -5.829 3.939
5.829 5.829 -3.939
Ba Cl
6 10
Cartesian
0.000 0.000 0.000
4.063 -1.766 1.963
7.595 1.766 1.963
0.000 0.000 3.939
1.766 4.063 1.963
-1.766 7.595 1.963
6.770 3.457 -1.970
3.457 4.888 -1.970
2.372 0.941 1.970
-0.941 2.372 1.970
5.829 0.000 3.933
4.888 3.457 1.970
2.372 -0.941 5.909
3.457 6.770 1.970
0.941 2.372 5.909
0.000 5.829 3.933
```

=====

# 12
Pr12Co6Ag: calculated X-ray powder pattern (copper Kα), based on a structure optimized by DFT (PBE).

Principal peaks in the range 2θ from 5° to 70°, sorted by position:
2θ (°), I_rel
25.0, 61
28.0, 451
30.8, 514
33.3, 1000
35.7, 188
37.9, 82
46.0, 258
53.0, 370
54.7, 130
56.3, 368
65.6, 192
68.5, 95

Atomic structure:
```
Pr12Co6Ag
1.0
-5.034 5.034 5.034
5.034 -5.034 5.034
5.034 5.034 -5.034
Pr Co Ag
12 6 1
Cartesian
5.034 3.086 -1.951
3.083 0.000 1.948
6.985 0.000 1.948
1.948 3.083 0.000
3.086 -1.951 5.034
0.000 1.948 3.083
5.034 3.086 1.951
1.948 6.985 0.000
3.086 1.951 5.034
-1.951 5.034 3.086
1.951 5.034 3.086
0.000 1.948 6.985
5.034 1.119 0.000
5.034 0.000 3.915
3.915 5.034 0.000
1.119 0.000 5.034
0.000 5.034 1.119
0.000 3.915 5.034
0.000 0.000 0.000
```